Diffraction record for NbI3Br2. The powder XRD pattern is theoretical, not measured: it uses a PBE-relaxed structure and λ = 1.5418 Å (Cu Kα).

Cell and atoms:
```
data_NbI3Br2
_chemical_formula_sum 'Nb2 I6 Br4'
_space_group_name_H-M_alt 'P 1'
_space_group_IT_number 1
_cell_length_a 7.232
_cell_length_b 7.773
_cell_length_c 10.323
_cell_angle_alpha 110.18
_cell_angle_beta 91.09
_cell_angle_gamma 117.59
loop_
_space_group_symop_operation_xyz
'x,y,z'
loop_
_atom_site_label
_atom_site_type_symbol
_atom_site_fract_x
_atom_site_fract_y
_atom_site_fract_z
Nb1 Nb 0.110 0.219 0.217
Nb2 Nb 0.890 0.781 0.783
I1 I 0.075 0.820 0.566
I2 I 0.121 0.619 0.852
I3 I 0.313 0.012 0.249
I4 I 0.687 0.988 0.751
I5 I 0.879 0.381 0.148
I6 I 0.925 0.180 0.434
Br1 Br 0.221 0.173 0.961
Br2 Br 0.436 0.566 0.323
Br3 Br 0.564 0.434 0.677
Br4 Br 0.779 0.827 0.039
```

Principal peaks in the range 2θ = 15–90°, by angle:
27.0 deg, intensity 56, (0 2 -2); 28.0 deg, intensity 35, (2 0 -1); 28.2 deg, intensity 72, (2 -2 1); 28.8 deg, intensity 73, (1 0 -3); 29.0 deg, intensity 38, (-1 2 1); 29.3 deg, intensity 100, (1 1 1); 37.0 deg, intensity 25, (2 -3 2); 37.8 deg, intensity 30, (1 2 0); 43.7 deg, intensity 27, (-3 2 2); 49.1 deg, intensity 43, (1 -3 5)



Diffraction record for Gd3GaFeSe7. The powder XRD pattern is theoretical, not measured: it uses a PBE-relaxed structure and λ = 1.5418 Å (Cu Kα).

Cell and atoms:
```
data_Gd3GaFeSe7
_chemical_formula_sum 'Gd6 Ga2 Fe2 Se14'
_space_group_name_H-M_alt 'P 1'
_space_group_IT_number 1
_cell_length_a 10.109
_cell_length_b 6.486
_cell_length_c 10.132
_cell_angle_alpha 90.00
_cell_angle_beta 119.80
_cell_angle_gamma 90.00
loop_
_space_group_symop_operation_xyz
'x,y,z'
loop_
_atom_site_label
_atom_site_type_symbol
_atom_site_fract_x
_atom_site_fract_y
_atom_site_fract_z
Gd1 Gd 0.125 0.000 0.342
Gd2 Gd 0.281 0.498 0.122
Gd3 Gd 0.343 0.500 0.717
Gd4 Gd 0.657 0.000 0.283
Gd5 Gd 0.719 0.998 0.878
Gd6 Gd 0.875 0.500 0.658
Ga1 Ga 0.167 0.920 0.833
Ga2 Ga 0.833 0.420 0.167
Fe1 Fe 0.497 0.823 0.494
Fe2 Fe 0.503 0.323 0.506
Se1 Se 0.019 0.766 0.936
Se2 Se 0.065 0.765 0.584
Se3 Se 0.166 0.292 0.832
Se4 Se 0.260 0.587 0.395
Se5 Se 0.365 0.088 0.261
Se6 Se 0.395 0.086 0.635
Se7 Se 0.417 0.765 0.980
Se8 Se 0.583 0.265 0.020
Se9 Se 0.605 0.586 0.365
Se10 Se 0.635 0.588 0.739
Se11 Se 0.740 0.087 0.605
Se12 Se 0.834 0.792 0.168
Se13 Se 0.935 0.265 0.416
Se14 Se 0.981 0.266 0.064
```

Principal peaks in the range 2θ = 15–90°, by angle:
17.0 deg, intensity 33, (0 1 1); 24.5 deg, intensity 95, (0 1 2); 30.3 deg, intensity 68, (1 1 -3); 32.8 deg, intensity 35, (2 2 -1); 33.6 deg, intensity 62, (0 1 3); 34.4 deg, intensity 100, (2 2 -2); 35.4 deg, intensity 65, (2 0 -4); 35.5 deg, intensity 33, (4 0 -2); 38.8 deg, intensity 49, (2 2 1); 46.8 deg, intensity 53, (2 3 -2)



Diffraction record for Cu3SbS3. The powder XRD pattern is theoretical, not measured: it uses a PBE-relaxed structure and λ = 1.5418 Å (Cu Kα).

Cell and atoms:
```
data_Cu3SbS3
_chemical_formula_sum 'Cu24 Sb8 S24'
_space_group_name_H-M_alt 'P 1'
_space_group_IT_number 1
_cell_length_a 7.776
_cell_length_b 10.258
_cell_length_c 13.424
_cell_angle_alpha 90.00
_cell_angle_beta 90.11
_cell_angle_gamma 90.00
loop_
_space_group_symop_operation_xyz
'x,y,z'
loop_
_atom_site_label
_atom_site_type_symbol
_atom_site_fract_x
_atom_site_fract_y
_atom_site_fract_z
Cu1 Cu 0.054 0.044 0.360
Cu2 Cu 0.054 0.456 0.860
Cu3 Cu 0.155 0.595 0.701
Cu4 Cu 0.155 0.905 0.201
Cu5 Cu 0.223 0.102 0.923
Cu6 Cu 0.223 0.398 0.423
Cu7 Cu 0.298 0.604 0.170
Cu8 Cu 0.298 0.896 0.670
Cu9 Cu 0.342 0.104 0.451
Cu10 Cu 0.342 0.396 0.951
Cu11 Cu 0.437 0.532 0.599
Cu12 Cu 0.437 0.968 0.099
Cu13 Cu 0.563 0.032 0.901
Cu14 Cu 0.563 0.468 0.401
Cu15 Cu 0.658 0.604 0.049
Cu16 Cu 0.658 0.896 0.549
Cu17 Cu 0.702 0.104 0.330
Cu18 Cu 0.702 0.396 0.830
Cu19 Cu 0.777 0.602 0.577
Cu20 Cu 0.777 0.898 0.077
Cu21 Cu 0.845 0.095 0.799
Cu22 Cu 0.845 0.405 0.299
Cu23 Cu 0.946 0.544 0.140
Cu24 Cu 0.946 0.956 0.640
Sb1 Sb 0.209 0.746 0.446
Sb2 Sb 0.209 0.754 0.946
Sb3 Sb 0.291 0.246 0.698
Sb4 Sb 0.291 0.254 0.198
Sb5 Sb 0.709 0.746 0.802
Sb6 Sb 0.709 0.754 0.302
Sb7 Sb 0.791 0.246 0.054
Sb8 Sb 0.791 0.254 0.554
S1 S 0.057 0.240 0.829
S2 S 0.057 0.260 0.329
S3 S 0.177 0.074 0.089
S4 S 0.177 0.426 0.589
S5 S 0.182 0.070 0.588
S6 S 0.182 0.430 0.088
S7 S 0.313 0.569 0.841
S8 S 0.313 0.931 0.341
S9 S 0.329 0.572 0.336
S10 S 0.329 0.928 0.836
S11 S 0.446 0.748 0.075
S12 S 0.446 0.752 0.575
S13 S 0.554 0.248 0.425
S14 S 0.554 0.252 0.925
S15 S 0.671 0.072 0.164
S16 S 0.671 0.428 0.664
S17 S 0.687 0.069 0.659
S18 S 0.687 0.431 0.159
S19 S 0.818 0.570 0.912
S20 S 0.818 0.930 0.412
S21 S 0.823 0.574 0.411
S22 S 0.823 0.926 0.911
S23 S 0.943 0.740 0.671
S24 S 0.943 0.760 0.171
```

Principal peaks in the range 2θ = 15–90°, by angle:
22.9 deg, intensity 36, (2 0 0); 27.9 deg, intensity 19, (2 1 2); 29.0 deg, intensity 40, (1 0 -4); 29.3 deg, intensity 33, (0 3 2); 30.3 deg, intensity 22, (1 1 4); 31.5 deg, intensity 100, (1 3 -2); 33.9 deg, intensity 25, (1 2 -4); 36.4 deg, intensity 27, (3 1 1); 52.2 deg, intensity 17, (2 5 -2); 53.6 deg, intensity 18, (0 6 0)